The following is a computed powder X-ray diffraction pattern of Cs2Mo3P5O19. It was derived from DFT lattice parameters and positions (GGA+U), using λ = 1.5418 Å (Cu Kα).
Kinematic intensities with the Lorentz-polarization factor, no thermal factor.

The 10 most intense peaks (10 to 90 degrees two-theta), in order of rising 2θ:
| 2θ (°) | I/Imax |
| --- | --- |
| 20.26 | 39 |
| 22.31 | 71 |
| 23.37 | 28 |
| 25.82 | 42 |
| 27.03 | 28 |
| 27.76 | 100 |
| 28.02 | 52 |
| 30.57 | 27 |
| 31.67 | 39 |
| 37.31 | 27 |

Structure:
abc: 6.5967 14.7985 9.9259
angles: 90.00 105.76 90.00
Atoms (fractional coordinates):
Cs 0.0000 0.0000 0.0000
Cs 0.0000 0.5000 0.0000
Cs 0.0469 0.2500 0.3633
Cs 0.9531 0.7500 0.6367
Mo 0.2835 0.6262 0.3554
Mo 0.2835 0.8738 0.3554
Mo 0.3783 0.2500 0.0334
Mo 0.6217 0.7500 0.9666
Mo 0.7165 0.1262 0.6446
Mo 0.7165 0.3738 0.6446
P 0.1626 0.7500 0.0525
P 0.2652 0.1015 0.7352
P 0.2652 0.3985 0.7352
P 0.4898 0.5658 0.7104
P 0.4898 0.9342 0.7104
P 0.5102 0.0658 0.2896
P 0.5102 0.4342 0.2896
P 0.7348 0.6015 0.2648
P 0.7348 0.8985 0.2648
P 0.8374 0.2500 0.9475
O 0.0323 0.0966 0.6530
O 0.0323 0.4034 0.6530
O 0.0637 0.2500 0.0442
O 0.2046 0.6633 0.1448
O 0.2046 0.8367 0.1448
O 0.2666 0.7500 0.3961
O 0.2989 0.7500 0.9493
O 0.3026 0.1478 0.8752
O 0.3026 0.3522 0.8752
O 0.3183 0.0071 0.2959
O 0.3183 0.4929 0.2959
O 0.3407 0.5029 0.7782
O 0.3407 0.9971 0.7782
O 0.3523 0.5916 0.5659
O 0.3523 0.9084 0.5659
O 0.3930 0.1358 0.6366
O 0.3930 0.3642 0.6366
O 0.4400 0.1453 0.1938
O 0.4400 0.3547 0.1938
O 0.5600 0.6453 0.8062
O 0.5600 0.8547 0.8062
O 0.6070 0.6358 0.3634
O 0.6070 0.8642 0.3634
O 0.6477 0.0916 0.4341
O 0.6477 0.4084 0.4341
O 0.6593 0.0029 0.2218
O 0.6593 0.4971 0.2218
O 0.6817 0.5071 0.7041
O 0.6817 0.9929 0.7041
O 0.6974 0.6478 0.1248
O 0.6974 0.8522 0.1248
O 0.7011 0.2500 0.0507
O 0.7334 0.2500 0.6039
O 0.7954 0.1633 0.8552
O 0.7954 0.3367 0.8552
O 0.9363 0.7500 0.9558
O 0.9677 0.5966 0.3470
O 0.9677 0.9034 0.3470

The following is a computed powder X-ray diffraction pattern of Cs2MoPbO6. It was derived from DFT lattice parameters and positions (GGA+U), using λ = 1.5418 Å (Cu Kα).
Kinematic intensities with the Lorentz-polarization factor, no thermal factor.

The 10 most intense peaks (10 to 90 degrees two-theta), in order of rising 2θ:
| 2θ (°) | I/Imax |
| --- | --- |
| 15.23 | 59 |
| 21.93 | 62 |
| 26.54 | 100 |
| 34.69 | 36 |
| 35.32 | 48 |
| 44.21 | 19 |
| 44.72 | 36 |
| 46.86 | 20 |
| 52.76 | 38 |
| 66.78 | 18 |

Structure:
abc: 6.7159 6.7159 5.6508
angles: 90.00 90.00 120.00
Atoms (fractional coordinates):
Cs 0.3333 0.6667 0.1753
Cs 0.6667 0.3333 0.8247
Mo 0.0000 0.0000 0.0000
Pb 0.0000 0.0000 0.5000
O 0.1342 0.2684 0.7851
O 0.1342 0.8658 0.7851
O 0.2684 0.1342 0.2149
O 0.7316 0.8658 0.7851
O 0.8658 0.1342 0.2149
O 0.8658 0.7316 0.2149

The following is a computed powder X-ray diffraction pattern of Cs2RbMo2O7. It was derived from DFT lattice parameters and positions (GGA+U), using λ = 1.5418 Å (Cu Kα).
Kinematic intensities with the Lorentz-polarization factor, no thermal factor.

The 10 most intense peaks (10 to 90 degrees two-theta), in order of rising 2θ:
| 2θ (°) | I/Imax |
| --- | --- |
| 10.57 | 28 |
| 15.12 | 33 |
| 20.43 | 30 |
| 21.24 | 23 |
| 25.61 | 100 |
| 28.97 | 55 |
| 33.50 | 22 |
| 39.05 | 30 |
| 45.14 | 22 |
| 47.28 | 24 |

Structure:
abc: 9.2822 9.2822 9.2822
angles: 44.02 44.02 44.02
Atoms (fractional coordinates):
Cs 0.2293 0.2293 0.2293
Cs 0.7707 0.7707 0.7707
Rb 0.5000 0.5000 0.5000
Mo 0.0763 0.0763 0.0763
Mo 0.9237 0.9237 0.9237
O 0.0000 0.0000 0.0000
O 0.1699 0.7019 0.8236
O 0.1764 0.2981 0.8301
O 0.2981 0.8301 0.1764
O 0.7019 0.8236 0.1699
O 0.8236 0.1699 0.7019
O 0.8301 0.1764 0.2981